The following is a theoretical PXRD pattern of MnFe2F8. It was derived from a cell relaxed with GGA+U, using CuKα.

Crystal structure
```
MnFe2F8
1.0
4.153 -3.226 0.000
4.153 3.226 0.000
-1.143 0.000 5.154
Mn Fe F
1 2 8
Direct
0.000 0.000 0.000
0.317 0.317 0.555
0.683 0.683 0.445
0.050 0.667 0.676
0.193 0.193 0.816
0.333 0.950 0.324
0.438 0.438 0.270
0.562 0.562 0.730
0.667 0.050 0.676
0.807 0.807 0.184
0.950 0.333 0.324
```

Largest 8 diffraction maxima, sorted by position, 2θ = 10–90°:
2θ 17.21, I = 47
2θ 22.94, I = 34
2θ 24.83, I = 86
2θ 26.32, I = 100
2θ 27.65, I = 85
2θ 41.92, I = 44
2θ 45.28, I = 30
2θ 48.10, I = 48